No. 1
The following is a calculated X-ray diffraction stick pattern of UMn2. It was derived from a crystal structure in the Materials Project, relaxed with PBE, using λ = 1.5418 Å (Cu Kα).
Kinematic intensities with the Lorentz-polarization factor, no thermal factor.

Structural model:
```
data_UMn2
_chemical_formula_sum 'U4 Mn8'
_cell_length_a 4.406
_cell_length_b 5.236
_cell_length_c 7.426
_cell_angle_alpha 90.00
_cell_angle_beta 90.00
_cell_angle_gamma 90.00
_space_group_name_H-M_alt 'I m m a'
_space_group_IT_number 74
_space_group_name_Hall '-I 2b 2'
loop_
_atom_site_label
_atom_site_type_symbol
_atom_site_fract_x
_atom_site_fract_y
_atom_site_fract_z
_atom_site_occupancy
U1 U 0.000 0.250 0.135 1
Mn1 Mn 0.000 0.000 0.500 1
Mn2 Mn 0.250 0.250 0.750 1
```

Top 10 peaks for 2θ = 10–80°, low angle first:
2θ (°)	Rel. int.	h k l
20.8	47	0 1 1
23.5	24	1 0 1
34.3	29	0 2 0
36.0	100	1 1 2
40.3	24	0 1 3
41.0	18	2 0 0
41.9	93	1 0 3
46.4	49	2 1 1
62.5	21	1 3 2
76.3	24	2 2 4

No. 2
The following is a calculated X-ray diffraction stick pattern of CeSI. It was derived from a crystal structure in the Materials Project, relaxed with PBE, using λ = 1.5418 Å (Cu Kα).
Kinematic intensities with the Lorentz-polarization factor, no thermal factor.

Structural model:
```
data_CeSI
_chemical_formula_sum 'Ce8 S8 I8'
_cell_length_a 7.045
_cell_length_b 14.437
_cell_length_c 7.316
_cell_angle_alpha 90.00
_cell_angle_beta 90.00
_cell_angle_gamma 90.00
_space_group_name_H-M_alt 'P b c a'
_space_group_IT_number 61
_space_group_name_Hall '-P 2ac 2ab'
loop_
_atom_site_label
_atom_site_type_symbol
_atom_site_fract_x
_atom_site_fract_y
_atom_site_fract_z
_atom_site_occupancy
Ce1 Ce 0.242 0.082 0.029 1
S1 S 0.001 0.023 0.742 1
I1 I 0.183 0.699 0.406 1
```

Top 10 peaks for 2θ = 10–80°, low angle first:
2θ (°)	Rel. int.	h k l
17.3	13	0 2 1
21.4	20	1 2 1
24.3	20	0 0 2
25.3	31	2 0 0
30.2	28	1 2 2
30.4	100	1 4 1
35.4	28	2 0 2
39.0	12	0 2 3
41.1	13	1 2 3
47.9	14	3 4 1

No. 3
The following is a calculated X-ray diffraction stick pattern of Co3PW2. It was derived from a crystal structure in the Materials Project, relaxed with PBE, using λ = 1.5418 Å (Cu Kα).
Kinematic intensities with the Lorentz-polarization factor, no thermal factor.

Structural model:
```
data_Co3PW2
_chemical_formula_sum 'Co6 P2 W4'
_cell_length_a 4.7608
_cell_length_b 4.7608
_cell_length_c 7.3169
_cell_angle_alpha 90.00
_cell_angle_beta 90.00
_cell_angle_gamma 120.00
_space_group_name_H-M_alt 'P 63/m m c'
_space_group_IT_number 194
_space_group_name_Hall '-P 6c 2c'
loop_
_atom_site_label
_atom_site_type_symbol
_atom_site_fract_x
_atom_site_fract_y
_atom_site_fract_z
_atom_site_occupancy
Co1 Co 0.1685 0.3369 0.2500 1
P1 P 0.0000 0.0000 0.0000 1
W1 W 0.3333 0.6667 0.5654 1
```

Top 10 peaks for 2θ = 10–80°, low angle first:
2θ (°)	Rel. int.	h k l
21.6	34	1 0 0
24.8	16	1 0 1
32.7	25	1 0 2
37.8	64	1 1 0
43.1	100	1 0 3
43.9	23	2 0 0
45.5	79	1 1 2
45.7	55	2 0 1
71.9	43	2 1 3
73.6	19	3 0 2

No. 4
The following is a calculated X-ray diffraction stick pattern of LiCu6OF11. It was derived from a crystal structure in the Materials Project, relaxed with PBE, using λ = 1.5418 Å (Cu Kα).
Kinematic intensities with the Lorentz-polarization factor, no thermal factor.

Structural model:
```
data_LiCu6OF11
_chemical_formula_sum 'Li1 Cu6 O1 F11'
_cell_length_a 4.778
_cell_length_b 5.682
_cell_length_c 8.363
_cell_angle_alpha 86.69
_cell_angle_beta 83.47
_cell_angle_gamma 83.88
_space_group_name_H-M_alt 'P 1'
_space_group_IT_number 1
_space_group_name_Hall 'P 1'
loop_
_atom_site_label
_atom_site_type_symbol
_atom_site_fract_x
_atom_site_fract_y
_atom_site_fract_z
_atom_site_occupancy
Li1 Li 0.000 0.000 0.000 1
Cu1 Cu 0.215 0.711 0.411 1
Cu2 Cu 0.227 0.395 0.046 1
Cu3 Cu 0.229 0.047 0.700 1
Cu4 Cu 0.568 0.751 0.092 1
Cu5 Cu 0.717 0.221 0.386 1
Cu6 Cu 0.725 0.549 0.736 1
O1 O 0.506 0.562 0.935 1
F1 F 0.002 0.005 0.471 1
F2 F 0.011 0.308 0.818 1
F3 F 0.399 0.071 0.993 1
F4 F 0.427 0.442 0.302 1
F5 F 0.451 0.762 0.627 1
F6 F 0.499 0.899 0.296 1
F7 F 0.509 0.240 0.600 1
F8 F 0.927 0.224 0.170 1
F9 F 0.940 0.521 0.519 1
F10 F 0.954 0.858 0.807 1
F11 F 0.996 0.694 0.121 1
```

Top 10 peaks for 2θ = 10–80°, low angle first:
2θ (°)	Rel. int.	h k l
26.8	61	1 1 -1
27.5	100	1 -1 1
29.9	60	1 1 2
32.4	40	0 0 3
33.1	28	0 2 1
34.6	24	-1 1 2
47.9	19	2 0 3
50.1	17	1 -1 4
53.6	30	0 2 4
56.7	21	2 -2 2

No. 5
The following is a calculated X-ray diffraction stick pattern of Ag2PS3. It was derived from a crystal structure in the Materials Project, relaxed with PBE, using λ = 1.5418 Å (Cu Kα).
Kinematic intensities with the Lorentz-polarization factor, no thermal factor.

Structural model:
```
data_Ag2PS3
_chemical_formula_sum 'Ag16 P8 S24'
_cell_length_a 6.338
_cell_length_b 11.235
_cell_length_c 14.383
_cell_angle_alpha 90.00
_cell_angle_beta 90.00
_cell_angle_gamma 90.00
_space_group_name_H-M_alt 'P 21 21 21'
_space_group_IT_number 19
_space_group_name_Hall 'P 2ac 2ab'
loop_
_atom_site_label
_atom_site_type_symbol
_atom_site_fract_x
_atom_site_fract_y
_atom_site_fract_z
_atom_site_occupancy
Ag1 Ag 0.013 0.188 0.119 1
Ag2 Ag 0.091 0.374 0.628 1
Ag3 Ag 0.092 0.640 0.613 1
Ag4 Ag 0.188 0.296 0.374 1
P1 P 0.072 0.001 0.458 1
P2 P 0.122 0.974 0.299 1
S1 S 0.085 0.663 0.031 1
S2 S 0.104 0.359 0.997 1
S3 S 0.140 0.991 0.017 1
S4 S 0.167 0.475 0.263 1
S5 S 0.207 0.880 0.755 1
S6 S 0.225 0.185 0.786 1
```

Top 10 peaks for 2θ = 10–80°, low angle first:
2θ (°)	Rel. int.	h k l
14.6	69	0 1 2
17.2	88	1 1 1
24.6	93	1 1 3
24.8	44	0 0 4
28.4	64	1 3 1
29.5	64	0 2 4
33.5	100	1 3 3
33.9	51	2 0 3
35.5	48	1 4 1
42.1	91	0 5 2

No. 6
The following is a calculated X-ray diffraction stick pattern of SrMg2Sb2. It was derived from a crystal structure in the Materials Project, relaxed with PBE, using λ = 1.5418 Å (Cu Kα).
Kinematic intensities with the Lorentz-polarization factor, no thermal factor.

Structural model:
```
data_SrMg2Sb2
_chemical_formula_sum 'Sr1 Mg2 Sb2'
_cell_length_a 4.7544
_cell_length_b 4.7544
_cell_length_c 7.8877
_cell_angle_alpha 90.00
_cell_angle_beta 90.00
_cell_angle_gamma 120.00
_space_group_name_H-M_alt 'P -3 m 1'
_space_group_IT_number 164
_space_group_name_Hall '-P 3 2"'
loop_
_atom_site_label
_atom_site_type_symbol
_atom_site_fract_x
_atom_site_fract_y
_atom_site_fract_z
_atom_site_occupancy
Sr1 Sr 0.0000 0.0000 0.0000 1
Mg1 Mg 0.3333 0.6667 0.3723 1
Sb1 Sb 0.3333 0.6667 0.7438 1
```

Top 10 peaks for 2θ = 10–80°, low angle first:
2θ (°)	Rel. int.	h k l
24.4	100	1 0 1
31.4	54	1 0 2
37.8	53	1 1 0
40.7	35	0 1 3
45.5	19	0 2 1
50.0	14	0 2 2
60.7	16	2 1 1
61.1	13	1 1 4
64.4	13	2 1 2
70.3	13	1 2 3

No. 7
The following is a calculated X-ray diffraction stick pattern of LuZn. It was derived from a crystal structure in the Materials Project, relaxed with PBE, using λ = 1.5418 Å (Cu Kα).
Kinematic intensities with the Lorentz-polarization factor, no thermal factor.

Structural model:
```
data_LuZn
_chemical_formula_sum 'Lu1 Zn1'
_cell_length_a 3.497
_cell_length_b 3.497
_cell_length_c 3.497
_cell_angle_alpha 90.00
_cell_angle_beta 90.00
_cell_angle_gamma 90.00
_space_group_name_H-M_alt 'P m -3 m'
_space_group_IT_number 221
_space_group_name_Hall '-P 4 2 3'
loop_
_atom_site_label
_atom_site_type_symbol
_atom_site_fract_x
_atom_site_fract_y
_atom_site_fract_z
_atom_site_occupancy
Lu1 Lu 0.000 0.000 0.000 1
Zn1 Zn 0.500 0.500 0.500 1
```

Top 7 peaks for 2θ = 10–80°, low angle first:
2θ (°)	Rel. int.	h k l
25.5	21	1 0 0
36.3	100	1 1 0
44.9	6	1 1 1
52.3	18	2 0 0
59.1	9	2 1 0
65.4	35	2 1 1
77.2	11	2 2 0